Starting from a cell relaxed with GGA-PBE, the powder diffractogram of CsH3Se2O8 was computed for Cu Kα, 1.54184 Å.

Peak list (12 most intense, 10 to 90 degrees two-theta, in order of rising 2θ)
20.5 deg, 4.325 Å, I = 32
21.6 deg, 4.113 Å, I = 100
22.7 deg, 3.925 Å, I = 85
23.2 deg, 3.828 Å, I = 16
24.9 deg, 3.574 Å, I = 43
26.8 deg, 3.323 Å, I = 37
30.0 deg, 2.982 Å, I = 11
30.7 deg, 2.916 Å, I = 24
30.8 deg, 2.907 Å, I = 53
41.3 deg, 2.187 Å, I = 13
44.0 deg, 2.058 Å, I = 11
48.0 deg, 1.895 Å, I = 12

Cell and atoms:
a b c (Å): 8.223 13.398 8.650
angles (deg): 90.00 90.11 90.00
Space group P2_1/c (No. 14)
Inequivalent atoms, fractional coordinates:
1 Cs 0.216 0.062 0.164
2 H 0.118 0.744 0.606
3 H 0.334 0.549 0.128
4 H 0.484 0.652 0.753
5 Se 0.251 0.108 0.685
6 Se 0.255 0.706 0.322
7 O 0.090 0.707 0.195
8 O 0.105 0.071 0.801
9 O 0.172 0.665 0.485
10 O 0.228 0.205 0.574
11 O 0.305 0.011 0.559
12 O 0.328 0.679 0.836
13 O 0.392 0.627 0.252
14 O 0.418 0.122 0.808

Starting from a cell relaxed with GGA-PBE, the powder diffractogram of KSnAuS3 was computed for Cu Kα, 1.54184 Å.

Peak list (12 most intense, 10 to 90 degrees two-theta, in order of rising 2θ)
10.7 deg, 8.293 Å, I = 23
15.1 deg, 5.864 Å, I = 100
21.4 deg, 4.147 Å, I = 27
24.0 deg, 3.709 Å, I = 24
25.7 deg, 3.468 Å, I = 46
27.4 deg, 3.259 Å, I = 23
30.2 deg, 2.955 Å, I = 45
31.4 deg, 2.849 Å, I = 22
31.9 deg, 2.809 Å, I = 37
33.7 deg, 2.660 Å, I = 29
35.0 deg, 2.562 Å, I = 40
35.7 deg, 2.514 Å, I = 38

Cell and atoms:
a b c (Å): 8.293 8.293 19.554
angles (deg): 90.00 90.00 90.00
Space group P4cc (No. 103)
Inequivalent atoms, fractional coordinates:
1 K 0.000 0.000 0.000
2 K 0.000 0.000 0.198
3 K 0.500 0.500 0.052
4 K 0.500 0.500 0.341
5 Sn 0.000 0.500 0.011
6 Sn 0.000 0.500 0.188
7 Au 0.002 0.315 0.348
8 S 0.150 0.342 0.098
9 S 0.171 0.323 0.754
10 S 0.175 0.325 0.444

Starting from a cell relaxed with GGA-PBE, the powder diffractogram of K3TaNbCu3S8 was computed for Cu Kα, 1.54184 Å.

Peak list (12 most intense, 10 to 90 degrees two-theta, in order of rising 2θ)
12.3 deg, 7.193 Å, I = 25
14.2 deg, 6.249 Å, I = 100
15.8 deg, 5.595 Å, I = 42
17.0 deg, 5.208 Å, I = 24
17.2 deg, 5.143 Å, I = 31
25.2 deg, 3.528 Å, I = 28
27.5 deg, 3.246 Å, I = 20
30.3 deg, 2.950 Å, I = 25
35.2 deg, 2.550 Å, I = 20
43.5 deg, 2.082 Å, I = 26
44.6 deg, 2.033 Å, I = 23
51.8 deg, 1.765 Å, I = 15

Cell and atoms:
a b c (Å): 23.846 5.587 14.485
angles (deg): 90.00 120.38 90.00
Space group C2 (No. 5)
Inequivalent atoms, fractional coordinates:
1 K 0.000 0.000 0.250
2 K 0.192 0.459 0.345
3 K 0.192 0.541 0.845
4 Ta 0.126 0.716 0.530
5 Nb 0.126 0.284 0.030
6 Cu 0.000 0.281 0.000
7 Cu 0.000 0.719 0.500
8 Cu 0.123 0.216 0.532
9 Cu 0.123 0.784 0.032
10 S 0.039 0.480 0.411
11 S 0.039 0.521 0.911
12 S 0.091 0.050 0.123
13 S 0.091 0.949 0.623
14 S 0.156 0.031 0.937
15 S 0.156 0.967 0.437
16 S 0.210 0.469 0.640
17 S 0.210 0.533 0.140

What did the third record say?
Starting from a cell relaxed with GGA-PBE, the powder diffractogram of K3TaNbCu3S8 was computed for Cu Kα, 1.54184 Å.

Peak list (12 most intense, 10 to 90 degrees two-theta, in order of rising 2θ)
12.3 deg, 7.193 Å, I = 25
14.2 deg, 6.249 Å, I = 100
15.8 deg, 5.595 Å, I = 42
17.0 deg, 5.208 Å, I = 24
17.2 deg, 5.143 Å, I = 31
25.2 deg, 3.528 Å, I = 28
27.5 deg, 3.246 Å, I = 20
30.3 deg, 2.950 Å, I = 25
35.2 deg, 2.550 Å, I = 20
43.5 deg, 2.082 Å, I = 26
44.6 deg, 2.033 Å, I = 23
51.8 deg, 1.765 Å, I = 15

Cell and atoms:
a b c (Å): 23.846 5.587 14.485
angles (deg): 90.00 120.38 90.00
Space group C2 (No. 5)
Inequivalent atoms, fractional coordinates:
1 K 0.000 0.000 0.250
2 K 0.192 0.459 0.345
3 K 0.192 0.541 0.845
4 Ta 0.126 0.716 0.530
5 Nb 0.126 0.284 0.030
6 Cu 0.000 0.281 0.000
7 Cu 0.000 0.719 0.500
8 Cu 0.123 0.216 0.532
9 Cu 0.123 0.784 0.032
10 S 0.039 0.480 0.411
11 S 0.039 0.521 0.911
12 S 0.091 0.050 0.123
13 S 0.091 0.949 0.623
14 S 0.156 0.031 0.937
15 S 0.156 0.967 0.437
16 S 0.210 0.469 0.640
17 S 0.210 0.533 0.140